1.
For CsNb4Se8, DFT lattice parameters and positions (PBE) gives the simulated powder diffraction line list in this record (Cu Kα, 1.54184 Å).
Lines closer than 0.1° are merged.

Structure:
Cell: 6.9765 6.9765 28.2706 Å, 90.00 90.00 120.00°
Space group R-3m (No. 166, hexagonal axes)
Inequivalent atoms, fractional coordinates:
1 Cs 0.0000 0.0000 0.0000 (multiplicity 3)
2 Nb 0.0000 0.0000 0.5000 (multiplicity 3)
3 Nb 0.0000 0.5000 0.5000 (multiplicity 9)
4 Se 0.0000 0.0000 0.2264 (multiplicity 6)
5 Se 0.0017 0.5009 0.2262 (multiplicity 18)

Peak list (10 most intense, 2θ from 10° to 90°, most intense first)
hkl 0 2 4, 32.23 deg, rel. 100
hkl 0 2 7, 37.17 deg, rel. 40
hkl 2 2 0, 52.46 deg, rel. 30
hkl 2 0 8, 39.23 deg, rel. 30
hkl 2 0 11, 46.39 deg, rel. 26
hkl 2 2 18, 82.68 deg, rel. 14
hkl 4 0 4, 62.92 deg, rel. 14
hkl 2 0 14, 54.67 deg, rel. 14
hkl 2 2 3, 53.43 deg, rel. 12
hkl 2 4 4, 86.30 deg, rel. 12

***

2.
For BiPt17, DFT lattice parameters and positions (PBE) gives the simulated powder diffraction line list in this record (Cu Kα, 1.54184 Å).
Lines closer than 0.1° are merged.

Structure:
Cell: 5.5492 5.5492 34.1304 Å, 90.00 90.00 120.00°
Space group P-3m1 (No. 164)
Inequivalent atoms, fractional coordinates:
1 Bi 0.3333 0.6667 0.1992 (multiplicity 2)
2 Pt 0.0000 0.0000 0.2958 (multiplicity 2)
3 Pt 0.0000 0.0000 0.5000 (multiplicity 1)
4 Pt 0.0000 0.5000 0.5000 (multiplicity 3)
5 Pt 0.0031 0.5015 0.2951 (multiplicity 6)
6 Pt 0.1656 0.3312 0.7722 (multiplicity 6)
7 Pt 0.1666 0.3332 0.5682 (multiplicity 6)
8 Pt 0.1670 0.3341 0.3635 (multiplicity 6)
9 Pt 0.3333 0.6667 0.4318 (multiplicity 2)
10 Pt 0.3333 0.6667 0.6360 (multiplicity 2)

Peak list (10 most intense, 2θ from 10° to 90°, most intense first)
hkl 0 2 5, 39.77 deg, rel. 100
hkl 2 0 10, 46.20 deg, rel. 55
hkl 0 2 4, 38.94 deg, rel. 45
hkl 2 0 9, 44.64 deg, rel. 39
hkl 2 2 0, 67.54 deg, rel. 34
hkl 0 0 15, 39.61 deg, rel. 25
hkl 0 0 14, 36.87 deg, rel. 24
hkl 2 2 15, 81.21 deg, rel. 19
hkl 2 2 14, 79.49 deg, rel. 16
hkl 0 2 20, 67.30 deg, rel. 16

***

3.
For NbCl5, DFT lattice parameters and positions (PBE) gives the simulated powder diffraction line list in this record (Cu Kα, 1.54184 Å).
Lines closer than 0.1° are merged.

Structure:
Cell: 7.314 8.054 6.460 Å, 90.00 90.00 90.00°
Space group Pmmn (No. 59, origin choice 2)
Inequivalent atoms, fractional coordinates:
1 Nb 0.250 0.250 0.175 (multiplicity 2)
2 Cl 0.018 0.750 0.644 (multiplicity 4)
3 Cl 0.250 0.250 0.822 (multiplicity 2)
4 Cl 0.250 0.541 0.171 (multiplicity 4)

Peak list (10 most intense, 2θ from 10° to 90°, most intense first)
hkl 1 1 0, 16.37 deg, rel. 100
hkl 1 0 1, 18.32 deg, rel. 85
hkl 0 1 1, 17.60 deg, rel. 67
hkl 2 0 1, 28.04 deg, rel. 46
hkl 0 2 0, 22.07 deg, rel. 45
hkl 1 3 0, 35.62 deg, rel. 42
hkl 2 0 3, 49.10 deg, rel. 31
hkl 2 0 0, 24.34 deg, rel. 31
hkl 1 1 1, 21.41 deg, rel. 29
hkl 1 0 2, 30.25 deg, rel. 28

***

Q: Number 3 is which compound?
A: NbCl5